No. 1
Calculated X-ray diffraction stick pattern of HoAlGe for CuKα, from the PBE geometry in the Materials Project.
No peak broadening, texture or thermal motion is included.

Structural model:
Lattice parameters (Å, degrees): 5.5933 5.5933 5.7552 90.00 90.00 137.27
Atoms (fractional coordinates):
1 Ho 0.1899 0.8101 0.7500
2 Ho 0.8101 0.1899 0.2500
3 Al 0.5000 0.5000 0.0000
4 Al 0.5000 0.5000 0.5000
5 Ge 0.1064 0.8936 0.2500
6 Ge 0.8936 0.1064 0.7500

Peak list (10 most intense, 2θ from 10° to 80°, sorted by position)
2θ = 23.4°, intensity 50; 2θ = 28.2°, intensity 83; 2θ = 31.1°, intensity 66; 2θ = 33.9°, intensity 100; 2θ = 37.4°, intensity 68; 2θ = 37.9°, intensity 67; 2θ = 39.3°, intensity 67; 2θ = 46.7°, intensity 45; 2θ = 55.2°, intensity 46; 2θ = 59.8°, intensity 53

No. 2
Calculated X-ray diffraction stick pattern of Ho8Al3Ge9 for CuKα, from the PBE geometry in the Materials Project.
No peak broadening, texture or thermal motion is included.

Structural model:
Lattice parameters (Å, degrees): 5.6414 5.6414 20.1358 99.50 99.50 42.33
Atoms (fractional coordinates):
1 Ho 0.0343 0.0343 0.1787
2 Ho 0.2149 0.2149 0.5719
3 Ho 0.2908 0.2908 0.9292
4 Ho 0.4646 0.4646 0.3216
5 Ho 0.5354 0.5354 0.6784
6 Ho 0.7092 0.7092 0.0708
7 Ho 0.7851 0.7851 0.4281
8 Ho 0.9657 0.9657 0.8213
9 Al 0.2502 0.2502 0.7495
10 Al 0.5000 0.5000 0.5000
11 Al 0.7498 0.7498 0.2505
12 Ge 0.0000 0.0000 0.0000
13 Ge 0.0708 0.0708 0.4285
14 Ge 0.1787 0.1787 0.3217
15 Ge 0.3181 0.3181 0.1799
16 Ge 0.4240 0.4240 0.0747
17 Ge 0.5760 0.5760 0.9253
18 Ge 0.6819 0.6819 0.8201
19 Ge 0.8213 0.8213 0.6783
20 Ge 0.9292 0.9292 0.5715

Peak list (10 most intense, 2θ from 10° to 80°, sorted by position)
2θ = 26.3°, intensity 44; 2θ = 29.4°, intensity 14; 2θ = 33.7°, intensity 100; 2θ = 34.7°, intensity 14; 2θ = 36.2°, intensity 46; 2θ = 38.4°, intensity 56; 2θ = 42.1°, intensity 16; 2θ = 44.5°, intensity 23; 2θ = 50.3°, intensity 20; 2θ = 58.7°, intensity 23

No. 3
Calculated X-ray diffraction stick pattern of Ho2Al3Ge4 for CuKα, from the PBE geometry in the Materials Project.
No peak broadening, texture or thermal motion is included.

Structural model:
Lattice parameters (Å, degrees): 8.0045 8.0045 7.8825 90.00 90.00 135.84
Atoms (fractional coordinates):
1 Ho 0.1135 0.8865 0.9176
2 Ho 0.3865 0.6135 0.4176
3 Ho 0.6135 0.3865 0.5824
4 Ho 0.8865 0.1135 0.0824
5 Al 0.0000 0.0000 0.5000
6 Al 0.0321 0.4679 0.7500
7 Al 0.4679 0.0321 0.2500
8 Al 0.5000 0.5000 0.0000
9 Al 0.5321 0.9679 0.7500
10 Al 0.9679 0.5321 0.2500
11 Ge 0.1844 0.8156 0.5506
12 Ge 0.2029 0.2971 0.7500
13 Ge 0.2971 0.2029 0.2500
14 Ge 0.3156 0.6844 0.0506
15 Ge 0.6844 0.3156 0.9494
16 Ge 0.7029 0.7971 0.7500
17 Ge 0.7971 0.7029 0.2500
18 Ge 0.8156 0.1844 0.4494

Peak list (10 most intense, 2θ from 10° to 80°, sorted by position)
2θ = 19.5°, intensity 43; 2θ = 32.6°, intensity 52; 2θ = 34.1°, intensity 60; 2θ = 35.6°, intensity 100; 2θ = 36.3°, intensity 76; 2θ = 37.6°, intensity 69; 2θ = 38.5°, intensity 36; 2θ = 47.6°, intensity 25; 2θ = 51.2°, intensity 27; 2θ = 56.6°, intensity 26

No. 4
Calculated X-ray diffraction stick pattern of Ho2AlGe3 for CuKα, from the PBE geometry in the Materials Project.
No peak broadening, texture or thermal motion is included.

Structural model:
Lattice parameters (Å, degrees): 6.8286 4.1776 17.6779 90.00 90.00 90.00
Atoms (fractional coordinates):
1 Ho 0.1662 0.2500 0.2030
2 Ho 0.1678 0.2500 0.4147
3 Ho 0.3322 0.7500 0.9147
4 Ho 0.3338 0.7500 0.7030
5 Ho 0.6662 0.2500 0.2970
6 Ho 0.6678 0.2500 0.0853
7 Ho 0.8322 0.7500 0.5853
8 Ho 0.8338 0.7500 0.7970
9 Al 0.0493 0.7500 0.0645
10 Al 0.4507 0.2500 0.5645
11 Al 0.5493 0.7500 0.4355
12 Al 0.9507 0.2500 0.9355
13 Ge 0.0354 0.2500 0.6723
14 Ge 0.1462 0.2500 0.8115
15 Ge 0.2495 0.7500 0.5347
16 Ge 0.2505 0.2500 0.0347
17 Ge 0.3538 0.7500 0.3115
18 Ge 0.4646 0.7500 0.1723
19 Ge 0.5354 0.2500 0.8277
20 Ge 0.6462 0.2500 0.6885
21 Ge 0.7495 0.7500 0.9653
22 Ge 0.7505 0.2500 0.4653
23 Ge 0.8538 0.7500 0.1885
24 Ge 0.9646 0.7500 0.3277

Peak list (10 most intense, 2θ from 10° to 80°, sorted by position)
2θ = 24.0°, intensity 21; 2θ = 26.1°, intensity 26; 2θ = 32.3°, intensity 39; 2θ = 33.2°, intensity 42; 2θ = 33.9°, intensity 64; 2θ = 34.3°, intensity 32; 2θ = 35.8°, intensity 100; 2θ = 43.3°, intensity 40; 2θ = 47.5°, intensity 32; 2θ = 66.2°, intensity 24